# AcPuSe3
Computed powder diffraction line list, Cu Kα, 1.54184 Å. Input: a structure optimized by DFT (GGA-PBE).
No peak broadening, texture or thermal motion is included.

Structural model:
```
AcPuSe3
1.0
4.342 0.000 0.000
0.000 6.958 0.000
0.000 0.000 9.447
Ac Pu Se
2 2 6
Direct
0.250 0.250 0.148
0.750 0.750 0.852
0.250 0.750 0.403
0.750 0.250 0.597
0.250 0.514 0.664
0.250 0.750 0.079
0.250 0.986 0.664
0.750 0.014 0.336
0.750 0.250 0.921
0.750 0.486 0.336
```

Main lines, in order of rising 2θ (2θ from 15° to 90°):
2θ = 22.54°, I = 27, hkl 1 0 1; 2θ = 22.75°, I = 73, hkl 0 1 2; 2θ = 25.60°, I = 32, hkl 0 2 0; 2θ = 25.96°, I = 59, hkl 1 1 1; 2θ = 34.37°, I = 100, hkl 1 2 1; 2θ = 35.21°, I = 28, hkl 1 0 3; 2θ = 37.58°, I = 28, hkl 1 1 3; 2θ = 41.60°, I = 31, hkl 2 0 0; 2θ = 44.04°, I = 33, hkl 1 2 3; 2θ = 47.94°, I = 21, hkl 2 1 2